This entry pairs a crystal structure of Rb3Re2F8 with its simulated XRD peak list. Radiation: a wavelength of 1.5418 Å. Structure: DFT lattice parameters and positions (PBE).

Cell and atoms:
Cell lengths 8.0712, 8.0712, 8.0712 Å; angles 48.96, 48.96, 48.96 degrees
Positions (direct):
Rb 0.0000 0.0000 0.0000
Rb 0.2205 0.2205 0.2205
Rb 0.7795 0.7795 0.7795
Re 0.4479 0.4479 0.4479
Re 0.5521 0.5521 0.5521
F 0.2212 0.7390 0.7390
F 0.2610 0.2610 0.7788
F 0.2610 0.7788 0.2610
F 0.3436 0.3436 0.3436
F 0.6564 0.6564 0.6564
F 0.7390 0.2212 0.7390
F 0.7390 0.7390 0.2212
F 0.7788 0.2610 0.2610

Principal peaks in the range 10° ≤ 2θ ≤ 80°, sorted by position:
12.49°, I 205
15.86°, I 527
17.43°, I 394
22.70°, I 217
26.65°, I 1000
35.29°, I 184
38.09°, I 184
47.08°, I 625
54.90°, I 198
62.08°, I 181

This entry pairs a crystal structure of Rb2TiReF6 with its simulated XRD peak list. Radiation: a wavelength of 1.5418 Å. Structure: DFT lattice parameters and positions (PBE).

Cell and atoms:
Cell lengths 6.0375, 6.0375, 6.0375 Å; angles 119.94, 119.94, 90.10 degrees
Positions (direct):
Rb 0.2500 0.7500 0.5000
Rb 0.7500 0.2500 0.5000
Ti 0.0000 0.0000 0.0000
Re 0.5000 0.5000 0.0000
F 0.2436 0.2436 0.0000
F 0.2438 0.2438 0.4876
F 0.2438 0.7562 0.0000
F 0.7562 0.2438 0.0000
F 0.7564 0.7564 0.0000
F 0.7562 0.7562 0.5124

Principal peaks in the range 10° ≤ 2θ ≤ 80°, sorted by position:
17.99°, I 271
20.80°, I 89
29.58°, I 1000
34.84°, I 184
42.33°, I 377
46.34°, I 93
52.49°, I 405
61.41°, I 232
69.58°, I 119
77.42°, I 76

This entry pairs a crystal structure of RbTl2ReF8 with its simulated XRD peak list. Radiation: a wavelength of 1.5418 Å. Structure: DFT lattice parameters and positions (PBE).

Cell and atoms:
Cell lengths 4.8378, 8.3596, 6.5805 Å; angles 90.00, 96.65, 90.00 degrees
Positions (direct):
Rb 0.0000 0.0000 0.0000
Tl 0.5000 0.2325 0.5000
Tl 0.5000 0.7675 0.5000
Re 0.0000 0.5000 0.0000
F 0.1056 0.3306 0.8234
F 0.1056 0.6694 0.8234
F 0.3505 0.5000 0.1631
F 0.4988 0.0000 0.7306
F 0.5012 0.0000 0.2694
F 0.6495 0.5000 0.8369
F 0.8944 0.3306 0.1766
F 0.8944 0.6694 0.1766

Principal peaks in the range 10° ≤ 2θ ≤ 80°, sorted by position:
21.65°, I 765
24.22°, I 655
25.29°, I 1000
27.29°, I 300
28.30°, I 548
37.43°, I 215
38.12°, I 481
41.26°, I 296
44.29°, I 222
47.07°, I 383

This entry pairs a crystal structure of Rb5Ru2F12 with its simulated XRD peak list. Radiation: a wavelength of 1.5418 Å. Structure: DFT lattice parameters and positions (PBE).

Cell and atoms:
Cell lengths 7.3788, 7.3790, 8.9489 Å; angles 87.33, 81.80, 65.33 degrees
Positions (direct):
Rb 0.0000 0.0000 0.0000
Rb 0.2263 0.1632 0.4687
Rb 0.4648 0.5033 0.7231
Rb 0.5352 0.4967 0.2769
Rb 0.7737 0.8368 0.5313
Ru 0.1122 0.4485 0.1166
Ru 0.8878 0.5515 0.8834
F 0.0248 0.7175 0.7873
F 0.0818 0.5668 0.3142
F 0.1605 0.3120 0.9080
F 0.2599 0.6093 0.0359
F 0.3643 0.2343 0.1529
F 0.4474 0.7727 0.4960
F 0.5526 0.2273 0.5040
F 0.6357 0.7657 0.8472
F 0.7401 0.3907 0.9641
F 0.8395 0.6880 0.0920
F 0.9182 0.4332 0.6858
F 0.9752 0.2825 0.2127

Principal peaks in the range 10° ≤ 2θ ≤ 80°, sorted by position:
13.21°, I 1000
16.70°, I 517
17.74°, I 841
23.92°, I 388
25.12°, I 496
25.70°, I 571
28.90°, I 418
32.10°, I 377
41.50°, I 450
46.05°, I 440

This entry pairs a crystal structure of Rb2SrRuF6 with its simulated XRD peak list. Radiation: a wavelength of 1.5418 Å. Structure: DFT lattice parameters and positions (PBE).

Cell and atoms:
Cell lengths 6.3622, 6.3622, 6.3622 Å; angles 60.00, 60.00, 60.00 degrees
Positions (direct):
Rb 0.2500 0.2500 0.2500
Rb 0.7500 0.7500 0.7500
Sr 0.0000 0.0000 0.0000
Ru 0.5000 0.5000 0.5000
F 0.2637 0.2637 0.7363
F 0.2637 0.7363 0.2637
F 0.2637 0.7363 0.7363
F 0.7363 0.2637 0.2637
F 0.7363 0.2637 0.7363
F 0.7363 0.7363 0.2637

Principal peaks in the range 10° ≤ 2θ ≤ 80°, sorted by position:
17.07°, I 15
19.73°, I 42
28.05°, I 1000
34.53°, I 36
40.09°, I 407
49.64°, I 407
57.98°, I 253
65.63°, I 185
72.83°, I 81
79.76°, I 215

This entry pairs a crystal structure of RbZn2RuF8 with its simulated XRD peak list. Radiation: a wavelength of 1.5418 Å. Structure: DFT lattice parameters and positions (PBE).

Cell and atoms:
Cell lengths 9.6583, 9.6583, 9.6583 Å; angles 29.90, 29.90, 29.90 degrees
Positions (direct):
Rb 0.0000 0.0000 0.0000
Zn 0.2382 0.2382 0.2382
Zn 0.7618 0.7618 0.7618
Ru 0.5000 0.5000 0.5000
F 0.1663 0.4103 0.7746
F 0.2254 0.5897 0.8337
F 0.3056 0.3056 0.3056
F 0.4103 0.7746 0.1663
F 0.5897 0.8337 0.2254
F 0.6944 0.6944 0.6944
F 0.7746 0.1663 0.4103
F 0.8337 0.2254 0.5897

Principal peaks in the range 10° ≤ 2θ ≤ 80°, sorted by position:
24.31°, I 1000
29.06°, I 71
33.20°, I 305
36.04°, I 368
43.95°, I 242
49.81°, I 98
54.21°, I 194
58.09°, I 176
63.00°, I 100
64.80°, I 111

This entry pairs a crystal structure of RbSbSF2 with its simulated XRD peak list. Radiation: a wavelength of 1.5418 Å. Structure: DFT lattice parameters and positions (PBE).

Cell and atoms:
Cell lengths 4.5890, 4.5890, 5.8983 Å; angles 90.00, 90.00, 90.00 degrees
Positions (direct):
Rb 0.0000 0.0000 0.0000
Sb 0.5000 0.5000 0.4297
S 0.5000 0.5000 0.8235
F 0.0000 0.5000 0.3803
F 0.5000 0.0000 0.3803

Principal peaks in the range 10° ≤ 2θ ≤ 80°, sorted by position:
24.58°, I 1000
27.49°, I 460
30.31°, I 209
36.21°, I 166
39.26°, I 338
41.37°, I 199
46.87°, I 349
50.39°, I 190
50.50°, I 152
65.74°, I 217

This entry pairs a crystal structure of RbThS2F with its simulated XRD peak list. Radiation: a wavelength of 1.5418 Å. Structure: DFT lattice parameters and positions (PBE).

Cell and atoms:
Cell lengths 8.1352, 4.2000, 9.2092 Å; angles 90.00, 107.27, 90.00 degrees
Positions (direct):
Rb 0.2198 0.2500 0.3075
Rb 0.7802 0.7500 0.6925
Th 0.3129 0.2500 0.8198
Th 0.6871 0.7500 0.1802
S 0.3261 0.7500 0.0334
S 0.3288 0.7500 0.6319
S 0.6712 0.2500 0.3681
S 0.6739 0.2500 0.9666
F 0.0306 0.2500 0.7637
F 0.9694 0.7500 0.2363

Principal peaks in the range 10° ≤ 2θ ≤ 80°, sorted by position:
10.06°, I 329
12.77°, I 1000
20.03°, I 335
20.20°, I 492
22.90°, I 618
24.09°, I 885
29.30°, I 897
29.41°, I 783
40.91°, I 398
41.32°, I 333

Which formula does entry 5 have? Rb2SrRuF6

Please write out number 4 again, unchanged.
This entry pairs a crystal structure of Rb5Ru2F12 with its simulated XRD peak list. Radiation: a wavelength of 1.5418 Å. Structure: DFT lattice parameters and positions (PBE).

Cell and atoms:
Cell lengths 7.3788, 7.3790, 8.9489 Å; angles 87.33, 81.80, 65.33 degrees
Positions (direct):
Rb 0.0000 0.0000 0.0000
Rb 0.2263 0.1632 0.4687
Rb 0.4648 0.5033 0.7231
Rb 0.5352 0.4967 0.2769
Rb 0.7737 0.8368 0.5313
Ru 0.1122 0.4485 0.1166
Ru 0.8878 0.5515 0.8834
F 0.0248 0.7175 0.7873
F 0.0818 0.5668 0.3142
F 0.1605 0.3120 0.9080
F 0.2599 0.6093 0.0359
F 0.3643 0.2343 0.1529
F 0.4474 0.7727 0.4960
F 0.5526 0.2273 0.5040
F 0.6357 0.7657 0.8472
F 0.7401 0.3907 0.9641
F 0.8395 0.6880 0.0920
F 0.9182 0.4332 0.6858
F 0.9752 0.2825 0.2127

Principal peaks in the range 10° ≤ 2θ ≤ 80°, sorted by position:
13.21°, I 1000
16.70°, I 517
17.74°, I 841
23.92°, I 388
25.12°, I 496
25.70°, I 571
28.90°, I 418
32.10°, I 377
41.50°, I 450
46.05°, I 440